[1]
Diffraction record for Tl2TeAuS4. The powder X-ray diffraction pattern is calculated, not measured: it uses a structure optimized by DFT (GGA-PBE) and CuKα.
Intensities are scaled so that the largest is 100.

Cell and atoms:
```
data_Tl2TeAuS4
_chemical_formula_sum 'Tl8 Te4 Au4 S16'
_symmetry_space_group_name_H-M 'C 1 2/c 1'
_symmetry_Int_Tables_number 15
_symmetry_space_group_name_Hall '-C 2yc'
_cell_length_a 11.1606
_cell_length_b 11.1085
_cell_length_c 8.5251
_cell_angle_alpha 90.00
_cell_angle_beta 129.45
_cell_angle_gamma 90.00
loop_
_atom_site_label
_atom_site_type_symbol
_atom_site_fract_x
_atom_site_fract_y
_atom_site_fract_z
Tl1 Tl 0.0000 0.0000 0.0000
Tl2 Tl 0.2500 0.2500 0.0000
Te1 Te 0.2500 0.2500 0.5000
Au1 Au 0.0000 0.5000 0.0000
S1 S 0.0092 0.2784 0.4884
S2 S 0.2378 0.4891 0.5320
```

Main lines, by angle (2θ from 5° to 70°):
| (hkl) | 2theta | I (rel.) |
| --- | --- | --- |
| 2 2 0 | 26.18 | 100 |
| 2 2 -2 | 26.59 | 100 |
| 0 0 2 | 27.09 | 97 |
| 4 0 -2 | 32.09 | 60 |
| 0 4 0 | 32.23 | 60 |
| 4 0 0 | 41.94 | 30 |
| 0 4 2 | 42.60 | 54 |
| 4 4 -2 | 46.12 | 42 |
| 4 4 0 | 53.87 | 44 |
| 6 2 -4 | 54.14 | 34 |



[2]
Diffraction record for K4NaAu4. The powder X-ray diffraction pattern is calculated, not measured: it uses a structure optimized by DFT (GGA-PBE) and CuKα.
Intensities are scaled so that the largest is 100.

Cell and atoms:
```
data_K4NaAu4
_chemical_formula_sum 'K8 Na2 Au8'
_symmetry_space_group_name_H-M 'I -4 2 m'
_symmetry_Int_Tables_number 121
_symmetry_space_group_name_Hall 'I -4 2'
_cell_length_a 6.9700
_cell_length_b 6.9700
_cell_length_c 13.9240
_cell_angle_alpha 90.00
_cell_angle_beta 90.00
_cell_angle_gamma 90.00
loop_
_atom_site_label
_atom_site_type_symbol
_atom_site_fract_x
_atom_site_fract_y
_atom_site_fract_z
K1 K 0.2166 0.2166 0.3628
Na1 Na 0.0000 0.0000 0.0000
Au1 Au 0.2346 0.2346 0.1217
```

Main lines, by angle (2θ from 5° to 70°):
| (hkl) | 2theta | I (rel.) |
| --- | --- | --- |
| 1 1 2 | 22.10 | 87 |
| 0 0 4 | 25.57 | 100 |
| 2 1 1 | 29.36 | 6 |
| 2 0 4 | 36.48 | 85 |
| 1 1 6 | 43.06 | 50 |
| 2 2 4 | 45.08 | 27 |
| 0 0 8 | 52.54 | 13 |
| 3 1 6 | 57.67 | 22 |
| 2 0 8 | 59.32 | 32 |
| 2 2 8 | 65.65 | 25 |



[3]
Diffraction record for Pa2Zn16H. The powder X-ray diffraction pattern is calculated, not measured: it uses a structure optimized by DFT (GGA-PBE) and CuKα.
Intensities are scaled so that the largest is 100.

Cell and atoms:
```
data_Pa2Zn16H
_chemical_formula_sum 'Pa6 Zn48 H3'
_symmetry_space_group_name_H-M 'R 3 m'
_symmetry_Int_Tables_number 160
_symmetry_space_group_name_Hall 'R 3 -2"'
_cell_length_a 8.9698
_cell_length_b 8.9698
_cell_length_c 13.0386
_cell_angle_alpha 90.00
_cell_angle_beta 90.00
_cell_angle_gamma 120.00
loop_
_atom_site_label
_atom_site_type_symbol
_atom_site_fract_x
_atom_site_fract_y
_atom_site_fract_z
Pa1 Pa 0.0000 0.0000 0.0000
Pa2 Pa 0.0000 0.0000 0.3216
Zn1 Zn 0.0000 0.0000 0.7630
Zn2 Zn 0.0001 0.2945 0.6640
Zn3 Zn 0.0091 0.5045 0.5127
Zn4 Zn 0.0298 0.5149 0.8155
Zn5 Zn 0.0412 0.5206 0.1617
H1 H 0.0000 0.0000 0.4837
```

Main lines, by angle (2θ from 5° to 70°):
| (hkl) | 2theta | I (rel.) |
| --- | --- | --- |
| 1 0 1 | 13.27 | 14 |
| 1 1 3 | 28.60 | 42 |
| 1 2 2 | 33.47 | 15 |
| 3 0 0 | 34.64 | 34 |
| 0 2 4 | 35.97 | 22 |
| 2 2 0 | 40.22 | 41 |
| 0 3 3 | 40.55 | 100 |
| 0 0 6 | 41.56 | 28 |
| 4 1 3 | 58.44 | 17 |
| 2 2 6 | 59.21 | 16 |



[4]
Diffraction record for MgZn4P. The powder X-ray diffraction pattern is calculated, not measured: it uses a structure optimized by DFT (GGA-PBE) and CuKα.
Intensities are scaled so that the largest is 100.

Cell and atoms:
```
data_MgZn4P
_chemical_formula_sum 'Mg4 Zn16 P4'
_symmetry_space_group_name_H-M 'F -4 3 m'
_symmetry_Int_Tables_number 216
_symmetry_space_group_name_Hall 'F -4 2 3'
_cell_length_a 7.3492
_cell_length_b 7.3492
_cell_length_c 7.3492
_cell_angle_alpha 90.00
_cell_angle_beta 90.00
_cell_angle_gamma 90.00
loop_
_atom_site_label
_atom_site_type_symbol
_atom_site_fract_x
_atom_site_fract_y
_atom_site_fract_z
Mg1 Mg 0.0000 0.0000 0.0000
Zn1 Zn 0.1247 0.1247 0.3753
P1 P 0.2500 0.2500 0.7500
```

Main lines, by angle (2θ from 5° to 70°):
| (hkl) | 2theta | I (rel.) |
| --- | --- | --- |
| 1 1 1 | 20.94 | 58 |
| 2 2 0 | 34.52 | 8 |
| 3 1 1 | 40.72 | 100 |
| 2 2 2 | 42.62 | 72 |
| 4 0 0 | 49.62 | 22 |
| 3 3 1 | 54.42 | 13 |
| 4 2 2 | 61.85 | 3 |
| 5 1 1 | 66.06 | 29 |



[5]
Diffraction record for KTbTl2F6. The powder X-ray diffraction pattern is calculated, not measured: it uses a structure optimized by DFT (GGA-PBE) and CuKα.
Intensities are scaled so that the largest is 100.

Cell and atoms:
```
data_KTbTl2F6
_chemical_formula_sum 'K2 Tb2 Tl4 F12'
_symmetry_space_group_name_H-M 'P 1 21/c 1'
_symmetry_Int_Tables_number 14
_symmetry_space_group_name_Hall '-P 2ybc'
_cell_length_a 6.5151
_cell_length_b 6.7757
_cell_length_c 11.3539
_cell_angle_alpha 90.00
_cell_angle_beta 124.47
_cell_angle_gamma 90.00
loop_
_atom_site_label
_atom_site_type_symbol
_atom_site_fract_x
_atom_site_fract_y
_atom_site_fract_z
K1 K 0.0000 0.0000 0.0000
Tb1 Tb 0.5000 0.0000 0.5000
Tl1 Tl 0.2354 0.0404 0.7461
F1 F 0.1765 0.1728 0.4575
F2 F 0.2700 0.7297 0.4386
F3 F 0.3784 0.0456 0.2758
```

Main lines, by angle (2θ from 5° to 70°):
| (hkl) | 2theta | I (rel.) |
| --- | --- | --- |
| 0 1 1 | 16.15 | 23 |
| 0 0 2 | 18.92 | 29 |
| 0 2 0 | 26.31 | 47 |
| 1 1 1 | 26.80 | 100 |
| 1 1 -3 | 26.99 | 98 |
| 2 0 -2 | 27.38 | 47 |
| 2 2 -2 | 38.33 | 46 |
| 0 0 4 | 38.47 | 27 |
| 3 1 -1 | 47.93 | 26 |
| 3 1 -5 | 48.28 | 25 |



[6]
Diffraction record for ScMoN3. The powder X-ray diffraction pattern is calculated, not measured: it uses a structure optimized by DFT (GGA-PBE) and CuKα.
Intensities are scaled so that the largest is 100.

Cell and atoms:
```
data_ScMoN3
_chemical_formula_sum 'Sc4 Mo4 N12'
_symmetry_space_group_name_H-M 'P -1'
_symmetry_Int_Tables_number 2
_symmetry_space_group_name_Hall '-P 1'
_cell_length_a 5.7131
_cell_length_b 7.8198
_cell_length_c 8.1218
_cell_angle_alpha 63.30
_cell_angle_beta 82.28
_cell_angle_gamma 73.96
loop_
_atom_site_label
_atom_site_type_symbol
_atom_site_fract_x
_atom_site_fract_y
_atom_site_fract_z
Sc1 Sc 0.0230 0.1075 0.2660
Sc2 Sc 0.0730 0.3273 0.8219
Mo1 Mo 0.2491 0.6811 0.5195
Mo2 Mo 0.3900 0.8211 0.0967
N1 N 0.0025 0.3666 0.3111
N2 N 0.0770 0.8108 0.2878
N3 N 0.2227 0.7466 0.9788
N4 N 0.2722 0.8986 0.5275
N5 N 0.3112 0.1129 0.0489
N6 N 0.4387 0.3825 0.6872
```

Main lines, by angle (2θ from 5° to 70°):
| (hkl) | 2theta | I (rel.) |
| --- | --- | --- |
| 0 1 1 | 13.48 | 95 |
| 1 1 0 | 18.15 | 49 |
| 1 1 1 | 18.32 | 100 |
| 1 -1 0 | 23.21 | 45 |
| 0 2 0 | 26.31 | 33 |
| 1 0 2 | 29.35 | 34 |
| -1 1 2 | 29.64 | 29 |
| 2 2 1 | 34.77 | 39 |
| 0 2 3 | 35.04 | 28 |
| 2 0 -2 | 41.49 | 43 |



[7]
Diffraction record for Mg2ScMo3S8. The powder X-ray diffraction pattern is calculated, not measured: it uses a structure optimized by DFT (GGA-PBE) and CuKα.
Intensities are scaled so that the largest is 100.

Cell and atoms:
```
data_Mg2ScMo3S8
_chemical_formula_sum 'Mg6 Sc3 Mo9 S24'
_symmetry_space_group_name_H-M 'R -3 m'
_symmetry_Int_Tables_number 166
_symmetry_space_group_name_Hall '-R 3 2"'
_cell_length_a 7.5219
_cell_length_b 7.5219
_cell_length_c 17.8851
_cell_angle_alpha 90.00
_cell_angle_beta 90.00
_cell_angle_gamma 120.00
loop_
_atom_site_label
_atom_site_type_symbol
_atom_site_fract_x
_atom_site_fract_y
_atom_site_fract_z
Mg1 Mg 0.0000 0.0000 0.1222
Sc1 Sc 0.0000 0.0000 0.5000
Mo1 Mo 0.0000 0.5000 0.0000
S1 S 0.0000 0.0000 0.2606
S2 S 0.0222 0.5111 0.2561
```

Main lines, by angle (2θ from 5° to 70°):
| (hkl) | 2theta | I (rel.) |
| --- | --- | --- |
| 1 0 1 | 14.47 | 46 |
| 0 0 3 | 14.86 | 55 |
| 0 2 1 | 27.84 | 43 |
| 1 1 3 | 28.05 | 34 |
| 0 1 5 | 28.47 | 17 |
| 0 2 4 | 34.05 | 100 |
| 0 2 7 | 45.10 | 19 |
| 2 2 0 | 48.40 | 48 |
| 2 0 8 | 49.45 | 44 |
| 4 0 4 | 60.50 | 16 |



[8]
Diffraction record for K2ZrSe. The powder X-ray diffraction pattern is calculated, not measured: it uses a structure optimized by DFT (GGA-PBE) and CuKα.
Intensities are scaled so that the largest is 100.

Cell and atoms:
```
data_K2ZrSe
_chemical_formula_sum 'K4 Zr2 Se2'
_symmetry_space_group_name_H-M 'I m m m'
_symmetry_Int_Tables_number 71
_symmetry_space_group_name_Hall '-I 2 2'
_cell_length_a 3.7413
_cell_length_b 3.9402
_cell_length_c 21.0416
_cell_angle_alpha 90.00
_cell_angle_beta 90.00
_cell_angle_gamma 90.00
loop_
_atom_site_label
_atom_site_type_symbol
_atom_site_fract_x
_atom_site_fract_y
_atom_site_fract_z
K1 K 0.0000 0.0000 0.1556
Zr1 Zr 0.0000 0.5000 0.0000
Se1 Se 0.0000 0.5000 0.5000
```

Main lines, by angle (2θ from 5° to 70°):
| (hkl) | 2theta | I (rel.) |
| --- | --- | --- |
| 0 0 2 | 8.40 | 100 |
| 0 0 4 | 16.85 | 14 |
| 0 0 6 | 25.40 | 26 |
| 0 1 3 | 25.94 | 7 |
| 1 1 2 | 34.12 | 37 |
| 1 1 4 | 37.29 | 31 |
| 1 1 8 | 48.19 | 8 |
| 0 2 6 | 53.34 | 6 |
| 1 1 10 | 55.25 | 11 |
| 2 0 6 | 55.69 | 5 |



Q: Number 6 is which compound?
A: ScMoN3